Starting from a DFT-relaxed cell (PBE+U, Alexandria), the powder diffractogram of Li2MnP2O7 was simulated for Cu Kα (λ = 1.5418 Å).

Top 10 peaks for 15° ≤ 2θ ≤ 90°, low angle first:
index, d (Å), Position (°2θ), intensity
0 2 1, 5.210, 17.02, 12
1 2 -1, 4.101, 21.67, 100
0 0 2, 4.039, 22.01, 15
0 1 2, 3.872, 22.97, 42
1 2 0, 3.690, 24.12, 19
0 2 2, 3.475, 25.64, 13
1 4 0, 2.692, 33.28, 21
1 3 1, 2.626, 34.14, 28
1 3 -3, 2.581, 34.75, 34
2 2 -1, 2.321, 38.80, 21

a = 5.135 Å, b = 13.637 Å, c = 9.452 Å
α = 90.00°, β = 121.29°, γ = 90.00°
Fractional coordinates of all 48 atoms:
Li 0.044 0.181 0.195
Li 0.044 0.319 0.695
Li 0.444 0.167 0.613
Li 0.444 0.333 0.113
Li 0.556 0.667 0.887
Li 0.556 0.833 0.387
Li 0.956 0.681 0.305
Li 0.956 0.819 0.805
Mn 0.107 0.131 0.843
Mn 0.107 0.369 0.343
Mn 0.893 0.631 0.657
Mn 0.893 0.869 0.157
P 0.261 0.684 0.090
P 0.261 0.816 0.590
P 0.414 0.014 0.207
P 0.414 0.486 0.707
P 0.586 0.514 0.293
P 0.586 0.986 0.793
P 0.739 0.184 0.410
P 0.739 0.316 0.910
O 0.026 0.189 0.584
O 0.026 0.311 0.084
O 0.201 0.095 0.089
O 0.201 0.405 0.589
O 0.215 0.746 0.213
O 0.215 0.754 0.713
O 0.280 0.572 0.150
O 0.280 0.928 0.650
O 0.283 0.540 0.799
O 0.283 0.960 0.299
O 0.445 0.209 0.408
O 0.445 0.291 0.908
O 0.475 0.059 0.870
O 0.475 0.441 0.370
O 0.525 0.559 0.630
O 0.525 0.941 0.130
O 0.555 0.709 0.092
O 0.555 0.791 0.592
O 0.717 0.040 0.701
O 0.717 0.460 0.201
O 0.720 0.072 0.350
O 0.720 0.428 0.850
O 0.785 0.246 0.287
O 0.785 0.254 0.787
O 0.799 0.595 0.411
O 0.799 0.905 0.911
O 0.974 0.689 0.916
O 0.974 0.811 0.416